Record 1
Starting from the PBE geometry in Alexandria, the powder XRD pattern of NdDy3Se6 was calculated for CuKα.

Crystal structure
```
data_NdDy3Se6
_space_group_name_H-M_alt 'P 1 21/m 1'
_space_group_IT_number 11
_space_group_name_Hall '-P 2yb'
_cell_length_a 11.620
_cell_length_b 4.144
_cell_length_c 11.919
_cell_angle_alpha 90.00
_cell_angle_beta 109.07
_cell_angle_gamma 90.00
loop_
_atom_site_label
_atom_site_fract_x
_atom_site_fract_y
_atom_site_fract_z
Nd1 0.047 0.250 0.195
Dy1 0.159 0.250 0.585
Dy2 0.319 0.750 0.999
Dy3 0.437 0.250 0.333
Se1 0.084 0.750 0.405
Se2 0.116 0.250 0.965
Se3 0.196 0.750 0.750
Se4 0.260 0.750 0.226
Se5 0.394 0.250 0.560
Se6 0.481 0.250 0.114
```

Principal peaks in the range 2θ = 10–80°, sorted by position:
- (1 0 -3), 2θ = 22.38°, rel. 47
- (3 0 -1), 2θ = 22.94°, rel. 71
- (1 1 1), 2θ = 25.14°, rel. 55
- (2 1 1), 2θ = 29.61°, rel. 100
- (2 0 -4), 2θ = 30.58°, rel. 47
- (3 1 0), 2θ = 32.64°, rel. 74
- (4 1 -3), 2θ = 40.17°, rel. 76
- (1 1 4), 2θ = 41.76°, rel. 46
- (0 2 0), 2θ = 43.69°, rel. 68
- (5 0 1), 2θ = 44.53°, rel. 36

***

Record 2
Starting from the PBE geometry in Alexandria, the powder XRD pattern of NdDyTe2Se was calculated for CuKα.

Crystal structure
```
data_NdDyTe2Se
_space_group_name_H-M_alt 'P 4/n m m'
_space_group_IT_number 129
_cell_length_a 4.365
_cell_length_b 4.365
_cell_length_c 15.676
_cell_angle_alpha 90.00
_cell_angle_beta 90.00
_cell_angle_gamma 90.00
loop_
_space_group_symop_operation_xyz
'x,y,z'
'-x,-y,-z'
'-y+1/2,x,z'
'y+1/2,-x,-z'
'-x+1/2,-y+1/2,z'
'x+1/2,y+1/2,-z'
'y,-x+1/2,z'
'-y,x+1/2,-z'
'x+1/2,-y,-z'
'-x+1/2,y,z'
'-y,-x,-z'
'y,x,z'
'-x,y+1/2,-z'
'x,-y+1/2,z'
'y+1/2,x+1/2,-z'
'-y+1/2,-x+1/2,z'
loop_
_atom_site_label
_atom_site_fract_x
_atom_site_fract_y
_atom_site_fract_z
Nd1 0.250 0.250 0.132
Dy1 0.250 0.250 0.590
Te1 0.250 0.250 0.391
Te2 0.250 0.250 0.788
Se1 0.250 0.750 0.000
```

Principal peaks in the range 2θ = 10–80°, sorted by position:
- (0 0 5), 2θ = 28.47°, rel. 36
- (1 1 0), 2θ = 28.93°, rel. 100
- (1 1 1), 2θ = 29.49°, rel. 29
- (1 1 3), 2θ = 33.72°, rel. 24
- (1 0 5), 2θ = 35.24°, rel. 33
- (1 1 4), 2θ = 37.07°, rel. 62
- (2 0 0), 2θ = 41.37°, rel. 68
- (1 1 6), 2θ = 45.49°, rel. 23
- (2 0 5), 2θ = 50.98°, rel. 28
- (2 2 0), 2θ = 59.93°, rel. 23

***

Record 3
Starting from the PBE geometry in Alexandria, the powder XRD pattern of Nd10Sm4Dy was calculated for CuKα.

Crystal structure
```
data_Nd10Sm4Dy
_space_group_name_H-M_alt 'I 4/m'
_space_group_IT_number 87
_space_group_name_Hall '-I 4'
_cell_length_a 12.450
_cell_length_b 12.450
_cell_length_c 7.853
_cell_angle_alpha 90.00
_cell_angle_beta 90.00
_cell_angle_gamma 90.00
loop_
_atom_site_label
_atom_site_fract_x
_atom_site_fract_y
_atom_site_fract_z
Nd1 0.000 0.500 0.250
Nd2 0.099 0.199 0.249
Sm1 0.100 0.701 0.500
Dy1 0.000 0.000 0.000
```

Principal peaks in the range 2θ = 10–80°, sorted by position:
- (1 2 1), 2θ = 19.54°, rel. 27
- (3 1 0), 2θ = 22.61°, rel. 12
- (3 1 2), 2θ = 32.18°, rel. 100
- (5 0 1), 2θ = 37.93°, rel. 15
- (6 2 0), 2θ = 46.11°, rel. 12
- (0 0 4), 2θ = 46.24°, rel. 6
- (5 0 3), 2θ = 50.57°, rel. 7
- (5 5 2), 2θ = 57.38°, rel. 39
- (6 2 4), 2θ = 67.37°, rel. 8
- (10 0 0), 2θ = 76.53°, rel. 11

***

Record 4
Starting from the PBE geometry in Alexandria, the powder XRD pattern of Nd19Sm4Dy6 was calculated for CuKα.

Crystal structure
```
data_Nd19Sm4Dy6
_space_group_name_H-M_alt 'I 2 3'
_space_group_IT_number 197
_space_group_name_Hall 'I 2 2 3'
_cell_length_a 12.728
_cell_length_b 12.728
_cell_length_c 12.728
_cell_angle_alpha 90.00
_cell_angle_beta 90.00
_cell_angle_gamma 90.00
loop_
_atom_site_label
_atom_site_fract_x
_atom_site_fract_y
_atom_site_fract_z
Nd1 0.000 0.000 0.000
Nd2 0.000 0.000 0.259
Nd3 0.061 0.263 0.282
Sm1 0.182 0.182 0.818
Dy1 0.000 0.376 0.500
```

Principal peaks in the range 2θ = 10–80°, sorted by position:
- (3 1 2), 2θ = 26.20°, rel. 51
- (4 0 0), 2θ = 28.04°, rel. 58
- (4 1 1), 2θ = 29.78°, rel. 100
- (4 2 2), 2θ = 34.52°, rel. 37
- (4 1 3), 2θ = 35.98°, rel. 73
- (4 3 3), 2θ = 41.36°, rel. 24
- (5 4 1), 2θ = 46.22°, rel. 19
- (7 1 2), 2θ = 52.86°, rel. 25
- (7 1 4), 2θ = 58.95°, rel. 28
- (8 0 2), 2θ = 59.93°, rel. 25

***

Record 5
Starting from the PBE geometry in Alexandria, the powder XRD pattern of NdSm4Dy5 was calculated for CuKα.

Crystal structure
```
data_NdSm4Dy5
_space_group_name_H-M_alt 'P 1'
_space_group_IT_number 1
_space_group_name_Hall 'P 1'
_cell_length_a 6.313
_cell_length_b 6.814
_cell_length_c 9.297
_cell_angle_alpha 108.27
_cell_angle_beta 90.01
_cell_angle_gamma 117.60
loop_
_atom_site_label
_atom_site_fract_x
_atom_site_fract_y
_atom_site_fract_z
Nd1 0.000 0.000 0.000
Sm1 0.203 0.400 0.399
Sm2 0.336 0.000 0.499
Sm3 0.604 0.202 0.199
Sm4 0.937 0.201 0.700
Dy1 0.135 0.602 0.098
Dy2 0.403 0.800 0.798
Dy3 0.534 0.400 0.900
Dy4 0.732 0.798 0.300
Dy5 0.804 0.600 0.601
```

Principal peaks in the range 2θ = 10–80°, sorted by position:
- (1 0 2), 2θ = 28.26°, rel. 24
- (0 2 -2), 2θ = 31.06°, rel. 25
- (2 0 -1), 2θ = 32.33°, rel. 100
- (1 -2 4), 2θ = 42.49°, rel. 16
- (0 1 4), 2θ = 50.03°, rel. 20
- (2 -4 3), 2θ = 56.07°, rel. 21
- (3 1 0), 2θ = 60.07°, rel. 23
- (2 1 3), 2θ = 60.83°, rel. 16
- (4 -4 2), 2θ = 67.68°, rel. 4
- (2 3 1), 2θ = 78.43°, rel. 8

***

Record 6
Starting from the PBE geometry in Alexandria, the powder XRD pattern of Nd3Sm5Dy2 was calculated for CuKα.

Crystal structure
```
data_Nd3Sm5Dy2
_space_group_name_H-M_alt 'I b a m'
_space_group_IT_number 72
_space_group_name_Hall '-I 2 2c'
_cell_length_a 9.493
_cell_length_b 13.776
_cell_length_c 11.104
_cell_angle_alpha 90.00
_cell_angle_beta 90.00
_cell_angle_gamma 90.00
loop_
_atom_site_label
_atom_site_fract_x
_atom_site_fract_y
_atom_site_fract_z
Nd1 0.000 0.000 0.250
Nd2 0.250 0.126 0.000
Sm1 0.000 0.251 0.250
Sm2 0.000 0.500 0.250
Sm3 0.098 0.378 0.000
Dy1 0.089 0.127 0.500
```

Principal peaks in the range 2θ = 10–80°, sorted by position:
- (2 0 0), 2θ = 18.69°, rel. 22
- (2 0 2), 2θ = 24.68°, rel. 32
- (0 4 2), 2θ = 30.55°, rel. 100
- (3 2 1), 2θ = 32.15°, rel. 78
- (0 0 4), 2θ = 32.25°, rel. 43
- (2 4 2), 2θ = 36.05°, rel. 17
- (3 2 3), 2θ = 39.69°, rel. 35
- (3 6 1), 2θ = 49.75°, rel. 18
- (3 2 5), 2θ = 52.03°, rel. 16
- (0 4 6), 2θ = 56.44°, rel. 18